Record 1
Diffraction record for Zn2Hg3S4I2. The X-ray diffraction stick pattern is calculated, not measured: it uses a crystal structure in Alexandria, relaxed with PBE and Cu Kα (weighted mean of Kα1 and Kα2).

```
22
Lattice="6.031 -6.760 0.000 6.031 6.760 0.000 0.000 0.000 10.278" Properties=species:S:1:pos:R:3 pbc="T T T"
Zn 0.028 0.000 5.139
Zn 6.031 3.420 7.709
Zn 6.031 -3.420 2.570
Zn 12.033 0.000 0.000
Hg 3.304 0.734 3.128
Hg 3.304 -0.734 7.151
Hg 5.090 0.000 5.139
Hg 6.972 0.000 0.000
Hg 8.757 0.734 2.012
Hg 8.757 -0.734 8.267
S 5.213 5.817 1.917
S 6.848 5.817 3.222
S 5.402 1.283 8.553
S 6.659 1.283 6.864
S 5.402 -1.283 1.725
S 6.659 -1.283 3.414
S 5.213 -5.817 8.361
S 6.848 -5.817 7.057
I 4.392 4.561 6.033
I 7.669 4.561 9.384
I 4.392 -4.561 4.245
I 7.669 -4.561 0.894
```

Main lines, by angle (10 to 90 degrees two-theta):
13.1 deg, I 100.0
15.7 deg, I 22.2
17.0 deg, I 43.7
21.6 deg, I 38.8
22.8 deg, I 56.4
26.3 deg, I 71.4
31.6 deg, I 25.1
35.1 deg, I 39.9
41.1 deg, I 18.2
43.8 deg, I 27.1

Record 2
Diffraction record for AcPm2Rh2. The X-ray diffraction stick pattern is calculated, not measured: it uses a crystal structure in Alexandria, relaxed with PBE and Cu Kα (weighted mean of Kα1 and Kα2).

```
10
Lattice="1.997 -6.692 0.000 1.997 6.692 0.000 0.000 0.000 10.488" Properties=species:S:1:pos:R:3 pbc="T T T"
Ac 1.997 5.406 7.866
Ac 1.997 -5.406 2.622
Pm 1.997 1.916 5.997
Pm 1.997 1.916 9.734
Pm 1.997 -1.916 0.753
Pm 1.997 -1.916 4.491
Rh 0.000 0.000 0.000
Rh 0.000 0.000 5.244
Rh 1.997 3.509 2.622
Rh 1.997 -3.509 7.866
```

Main lines, by angle (10 to 90 degrees two-theta):
28.8 deg, I 100.0
30.0 deg, I 26.6
31.2 deg, I 75.9
34.7 deg, I 67.5
41.8 deg, I 28.5
44.1 deg, I 27.9
44.2 deg, I 22.3
45.4 deg, I 25.8
53.4 deg, I 24.2
54.7 deg, I 25.3

Record 3
Diffraction record for La2Ga4IrPd3. The X-ray diffraction stick pattern is calculated, not measured: it uses a crystal structure in Alexandria, relaxed with PBE and Cu Kα (weighted mean of Kα1 and Kα2).

```
10
Lattice="4.372 0.000 0.000 0.000 4.372 0.000 0.000 0.000 10.306" Properties=species:S:1:pos:R:3 pbc="T T T"
La 0.000 2.186 2.547
La 2.186 0.000 7.759
Ga 0.000 0.000 5.153
Ga 0.000 2.186 9.014
Ga 2.186 0.000 1.292
Ga 2.186 2.186 5.153
Ir 2.186 2.186 0.000
Pd 0.000 0.000 0.000
Pd 0.000 2.186 6.492
Pd 2.186 0.000 3.814
```

Main lines, by angle (10 to 90 degrees two-theta):
33.2 deg, I 53.4
33.8 deg, I 100.0
41.3 deg, I 62.8
45.8 deg, I 22.5
48.8 deg, I 20.5
54.0 deg, I 26.4
59.8 deg, I 20.7
61.8 deg, I 16.1
65.8 deg, I 16.5
70.5 deg, I 23.3

Record 4
Diffraction record for Tb6GaAg5. The X-ray diffraction stick pattern is calculated, not measured: it uses a crystal structure in Alexandria, relaxed with PBE and Cu Kα (weighted mean of Kα1 and Kα2).

```
12
Lattice="2.573 -7.717 0.000 2.573 7.717 0.000 0.000 0.000 7.303" Properties=species:S:1:pos:R:3 pbc="T T T"
Tb 0.000 0.000 1.815
Tb 0.000 0.000 5.488
Tb 2.573 2.553 1.817
Tb 2.573 2.553 5.486
Tb 2.573 -2.553 1.817
Tb 2.573 -2.553 5.486
Ga 2.573 0.000 0.000
Ag 2.573 5.163 0.000
Ag 2.573 5.123 3.652
Ag 2.573 0.000 3.652
Ag 2.573 -5.123 3.652
Ag 2.573 -5.163 0.000
```

Main lines, by angle (10 to 90 degrees two-theta):
24.4 deg, I 4.5
34.8 deg, I 100.0
50.0 deg, I 5.9
50.1 deg, I 11.7
62.4 deg, I 12.0
62.5 deg, I 23.8
73.5 deg, I 7.3
73.6 deg, I 3.6
83.8 deg, I 5.2
84.1 deg, I 10.4

Record 5
Diffraction record for Ti2NiB2. The X-ray diffraction stick pattern is calculated, not measured: it uses a crystal structure in Alexandria, relaxed with PBE and Cu Kα (weighted mean of Kα1 and Kα2).

```
10
Lattice="5.551 0.000 0.000 0.000 5.551 0.000 0.000 0.000 3.401" Properties=species:S:1:pos:R:3 pbc="T T T"
Ti 0.974 1.802 0.000
Ti 1.802 4.578 0.000
Ti 3.750 0.974 0.000
Ti 4.578 3.750 0.000
Ni 0.000 0.000 1.701
Ni 2.776 2.776 1.701
B 0.647 3.423 1.701
B 2.129 0.647 1.701
B 3.423 4.904 1.701
B 4.904 2.129 1.701
```

Main lines, by angle (10 to 90 degrees two-theta):
22.7 deg, I 21.5
34.9 deg, I 65.5
36.2 deg, I 34.0
42.0 deg, I 100.0
45.2 deg, I 62.8
46.3 deg, I 24.0
52.1 deg, I 43.4
53.9 deg, I 25.9
73.7 deg, I 17.5
78.3 deg, I 44.3

Record 6
Diffraction record for YAgI6. The X-ray diffraction stick pattern is calculated, not measured: it uses a crystal structure in Alexandria, relaxed with PBE and Cu Kα (weighted mean of Kα1 and Kα2).

```
8
Lattice="7.182 0.000 0.000 0.884 7.878 0.000 2.890 1.090 7.379" Properties=species:S:1:pos:R:3 pbc="T T T"
Y 0.000 0.000 0.000
Ag 4.033 3.939 0.000
I 2.212 1.591 4.371
I 4.185 3.512 6.202
I 6.132 7.368 6.311
I 4.824 1.599 1.068
I 6.771 5.456 1.177
I 8.744 7.377 3.008
```

Main lines, by angle (10 to 90 degrees two-theta):
12.0 deg, I 63.3
17.9 deg, I 51.7
20.8 deg, I 100.0
29.2 deg, I 34.9
29.5 deg, I 57.9
29.6 deg, I 45.6
31.9 deg, I 28.5
34.1 deg, I 35.9
35.9 deg, I 45.9
40.4 deg, I 31.9

Record 7
Diffraction record for Na6Bi2O. The X-ray diffraction stick pattern is calculated, not measured: it uses a crystal structure in Alexandria, relaxed with PBE and Cu Kα (weighted mean of Kα1 and Kα2).

```
18
Lattice="7.024 0.000 0.000 0.000 7.029 0.000 -7.016 0.000 9.719" Properties=species:S:1:pos:R:3 pbc="T T T"
Na -5.427 1.595 9.718
Na -1.920 1.919 4.859
Na -1.912 5.103 4.860
Na 1.596 5.441 0.000
Na -0.001 7.029 2.243
Na -3.508 3.515 7.102
Na 0.009 0.000 7.476
Na 3.517 3.514 2.616
Na -1.587 1.589 9.718
Na 1.921 1.926 4.859
Na 1.928 5.110 4.860
Na 5.436 5.434 0.001
Bi -3.504 0.000 7.289
Bi 0.004 3.514 2.429
Bi 3.512 7.029 2.430
Bi 0.004 3.515 7.290
O 0.000 0.000 0.000
O -3.508 3.515 4.859
```

Main lines, by angle (10 to 90 degrees two-theta):
17.9 deg, I 76.9
18.3 deg, I 36.7
25.4 deg, I 43.5
25.6 deg, I 84.3
31.4 deg, I 100.0
36.2 deg, I 38.6
40.6 deg, I 22.1
44.9 deg, I 37.5
52.7 deg, I 25.5
62.1 deg, I 27.3

Record 8
Diffraction record for K4Ho3NpS8. The X-ray diffraction stick pattern is calculated, not measured: it uses a crystal structure in Alexandria, relaxed with PBE and Cu Kα (weighted mean of Kα1 and Kα2).

```
16
Lattice="4.058 2.343 7.363 -4.058 2.343 7.363 0.000 -4.686 7.363" Properties=species:S:1:pos:R:3 pbc="T T T"
K 0.000 0.000 0.000
K -2.029 -1.171 7.363
K -2.029 1.171 14.726
K 0.000 2.343 7.363
Ho -4.058 0.000 11.044
Ho -2.029 1.171 3.681
Ho 2.029 1.171 3.681
Np 0.000 0.000 11.044
S -2.054 -1.186 12.526
S 0.000 0.000 5.162
S 0.000 -2.372 9.563
S -2.054 1.186 9.563
S 2.054 -1.186 12.526
S 0.000 2.372 12.526
S 0.000 0.000 16.927
S 2.054 1.186 9.563
```

Main lines, by angle (10 to 90 degrees two-theta):
12.0 deg, I 87.7
24.2 deg, I 19.4
25.7 deg, I 31.6
26.6 deg, I 40.2
30.1 deg, I 100.0
38.3 deg, I 22.0
41.6 deg, I 36.1
44.7 deg, I 34.1
46.4 deg, I 19.7
54.8 deg, I 17.6

Record 9
Diffraction record for PmErPb4. The X-ray diffraction stick pattern is calculated, not measured: it uses a crystal structure in Alexandria, relaxed with PBE and Cu Kα (weighted mean of Kα1 and Kα2).

```
12
Lattice="9.759 0.000 0.000 0.000 6.204 0.000 -0.833 0.000 6.043" Properties=species:S:1:pos:R:3 pbc="T T T"
Pm 0.000 0.000 0.000
Pm -0.416 3.102 3.022
Er 4.463 0.000 3.022
Er 4.879 3.102 0.000
Pb 1.169 0.059 3.134
Pb 1.585 3.043 0.112
Pb 2.929 3.177 2.987
Pb 2.512 6.130 6.009
Pb 6.414 0.075 0.035
Pb 5.997 3.027 3.056
Pb 7.341 3.161 5.931
Pb 7.757 6.145 2.910
```

Main lines, by angle (10 to 90 degrees two-theta):
28.8 deg, I 71.9
29.6 deg, I 66.7
33.0 deg, I 100.0
36.3 deg, I 78.8
41.7 deg, I 52.8
52.3 deg, I 26.2
53.7 deg, I 25.2
56.1 deg, I 22.5
59.2 deg, I 19.1
69.2 deg, I 22.6

Record 10
Diffraction record for Sm2YTa2Rh5. The X-ray diffraction stick pattern is calculated, not measured: it uses a crystal structure in Alexandria, relaxed with PBE and Cu Kα (weighted mean of Kα1 and Kα2).

```
20
Lattice="10.314 0.000 0.000 0.000 10.314 0.000 0.000 0.000 3.794" Properties=species:S:1:pos:R:3 pbc="T T T"
Sm 1.834 3.323 0.000
Sm 3.323 8.480 0.000
Sm 6.991 1.834 0.000
Sm 8.480 6.991 0.000
Y 0.000 0.000 0.000
Y 5.157 5.157 0.000
Ta 1.233 6.390 0.000
Ta 3.924 1.233 0.000
Ta 6.390 9.081 0.000
Ta 9.081 3.924 0.000
Rh 0.000 5.157 1.897
Rh 0.668 8.071 1.897
Rh 2.243 0.668 1.897
Rh 2.914 5.825 1.897
Rh 4.489 2.914 1.897
Rh 5.157 0.000 1.897
Rh 5.825 7.400 1.897
Rh 7.400 4.489 1.897
Rh 8.071 9.646 1.897
Rh 9.646 2.243 1.897
```

Main lines, by angle (10 to 90 degrees two-theta):
12.1 deg, I 32.8
19.2 deg, I 15.9
34.1 deg, I 23.3
35.9 deg, I 47.6
36.3 deg, I 100.0
37.0 deg, I 19.2
39.5 deg, I 65.2
42.4 deg, I 31.2
48.0 deg, I 26.8
61.3 deg, I 19.8

Record 11
Diffraction record for ZrPa2Rh9. The X-ray diffraction stick pattern is calculated, not measured: it uses a crystal structure in Alexandria, relaxed with PBE and Cu Kα (weighted mean of Kα1 and Kα2).

```
12
Lattice="4.032 0.000 0.000 0.000 4.032 0.000 0.000 0.000 12.052" Properties=species:S:1:pos:R:3 pbc="T T T"
Zr 0.000 0.000 0.000
Pa 0.000 0.000 3.977
Pa 0.000 0.000 8.075
Rh 0.000 2.016 1.968
Rh 0.000 2.016 6.026
Rh 0.000 2.016 10.084
Rh 2.016 0.000 1.968
Rh 2.016 0.000 6.026
Rh 2.016 0.000 10.084
Rh 2.016 2.016 0.000
Rh 2.016 2.016 3.987
Rh 2.016 2.016 8.065
```

Main lines, by angle (10 to 90 degrees two-theta):
22.1 deg, I 6.9
31.4 deg, I 6.0
38.7 deg, I 100.0
45.0 deg, I 32.8
45.1 deg, I 16.0
65.5 deg, I 10.6
65.6 deg, I 20.8
78.7 deg, I 24.9
79.0 deg, I 12.1
83.1 deg, I 10.8

Record 12
Diffraction record for YP4Pt. The X-ray diffraction stick pattern is calculated, not measured: it uses a crystal structure in Alexandria, relaxed with PBE and Cu Kα (weighted mean of Kα1 and Kα2).

```
12
Lattice="1.778 -10.246 0.000 1.778 10.246 0.000 0.000 0.000 6.097" Properties=species:S:1:pos:R:3 pbc="T T T"
Y 1.778 8.292 4.573
Y 1.778 -8.292 1.524
P 1.778 9.451 1.524
P 1.778 3.895 0.032
P 1.778 3.895 3.017
P 1.778 0.000 0.000
P 1.778 0.000 3.049
P 1.778 -3.895 3.080
P 1.778 -3.895 6.065
P 1.778 -9.451 4.573
Pt 1.778 5.834 1.524
Pt 1.778 -5.834 4.573
```

Main lines, by angle (10 to 90 degrees two-theta):
17.3 deg, I 28.4
22.7 deg, I 78.1
29.3 deg, I 30.9
29.4 deg, I 53.2
30.0 deg, I 78.2
31.9 deg, I 100.0
39.2 deg, I 46.1
39.9 deg, I 32.8
50.3 deg, I 33.3
66.7 deg, I 27.5

Record 13
Diffraction record for PuMgGa4. The X-ray diffraction stick pattern is calculated, not measured: it uses a crystal structure in Alexandria, relaxed with PBE and Cu Kα (weighted mean of Kα1 and Kα2).

```
6
Lattice="-2.195 3.364 4.007 2.195 -3.364 4.007 2.195 3.364 -4.007" Properties=species:S:1:pos:R:3 pbc="T T T"
Pu 0.000 0.000 0.000
Mg 0.000 3.364 0.806
Ga 2.195 2.020 -1.033
Ga 2.195 1.450 1.558
Ga 0.000 1.343 2.974
Ga 0.000 1.914 5.565
```

Main lines, by angle (10 to 90 degrees two-theta):
17.2 deg, I 74.3
24.2 deg, I 42.9
33.1 deg, I 56.1
34.8 deg, I 44.1
35.4 deg, I 100.0
39.5 deg, I 63.2
41.1 deg, I 34.1
41.8 deg, I 22.2
55.0 deg, I 24.2
69.4 deg, I 23.0